No. 1
This entry pairs a crystal structure of CdAg4Au8 with its computed powder XRD pattern. Radiation: Cu Kα. Structure: a cell relaxed with GGA-PBE.
Peak positions follow from Bragg's law for the DFT cell and can differ from measured ones.

Structure:
Unit cell a=2.898 b=4.724 c=18.020 alpha=90.00 beta=90.00 gamma=90.00
Sites, in units of the cell vectors:
1 Cd 0.000 0.000 0.000
2 Ag 0.000 0.000 0.276
3 Ag 0.000 0.500 0.467
4 Ag 0.500 0.000 0.704
5 Ag 0.500 0.500 0.911
6 Au 0.000 0.000 0.561
7 Au 0.000 0.000 0.848
8 Au 0.000 0.500 0.096
9 Au 0.000 0.500 0.760
10 Au 0.500 0.000 0.140
11 Au 0.500 0.000 0.416
12 Au 0.500 0.500 0.320
13 Au 0.500 0.500 0.612

Most intense lines, 10 to 90 degrees two-theta, most intense first:
h k l  2theta  Rel. int.
1 1 3  39.44  100
0 1 7  39.88  57
0 2 0  38.09  53
2 1 7  78.35  27
1 1 4  41.70  24
1 0 4  36.88  24
1 3 3  69.74  19
1 2 4  54.06  16
0 1 6  35.42  15
1 0 1  31.24  14



No. 2
This entry pairs a crystal structure of Zr2Pt2Rh with its computed powder XRD pattern. Radiation: Cu Kα. Structure: a cell relaxed with GGA-PBE.
Peak positions follow from Bragg's law for the DFT cell and can differ from measured ones.

Structure:
Unit cell a=7.359 b=7.359 c=3.428 alpha=90.00 beta=90.00 gamma=90.00
Sites, in units of the cell vectors:
1 Zr 0.172 0.328 0.000
2 Zr 0.328 0.828 0.000
3 Zr 0.672 0.172 0.000
4 Zr 0.828 0.672 0.000
5 Pt 0.132 0.632 0.500
6 Pt 0.368 0.132 0.500
7 Pt 0.632 0.868 0.500
8 Pt 0.868 0.368 0.500
9 Rh 0.000 0.000 0.500
10 Rh 0.500 0.500 0.500

Most intense lines, 10 to 90 degrees two-theta, most intense first:
h k l  2theta  Rel. int.
2 1 1  37.90  100
3 1 0  38.69  43
0 0 1  25.99  17
3 1 2  67.92  16
3 1 1  47.21  16
5 2 1  74.79  15
2 1 0  27.09  14
1 1 0  17.04  12
0 0 2  53.46  12
3 2 0  44.38  12



No. 3
This entry pairs a crystal structure of In2MoRh with its computed powder XRD pattern. Radiation: Cu Kα. Structure: a cell relaxed with GGA-PBE.
Peak positions follow from Bragg's law for the DFT cell and can differ from measured ones.

Structure:
Unit cell a=3.021 b=3.883 c=6.203 alpha=90.00 beta=90.00 gamma=90.00
Sites, in units of the cell vectors:
1 In 0.000 0.000 0.000
2 In 0.500 0.500 0.301
3 Mo 0.000 0.000 0.538
4 Rh 0.500 0.500 0.765

Most intense lines, 10 to 90 degrees two-theta, most intense first:
h k l  2theta  Rel. int.
1 1 0  37.73  100
0 1 2  37.10  98
1 0 2  41.74  70
1 2 2  64.48  37
0 2 0  46.79  27
2 1 2  73.94  26
1 1 4  72.74  21
2 0 0  61.38  12
2 2 0  80.58  11
1 3 0  80.78  10